Diffraction record for Li14Mn2O9. The XRD peak list is computed, not measured: it uses a structure optimized by DFT (PBE+U) and Cu Kα X-rays.
Neutral-atom scattering factors, no anomalous dispersion.

Peak list (10 most intense, 2θ from 5° to 70°, low angle first)
- 17.3°, I = 13.8
- 20.5°, I = 100.0
- 30.3°, I = 18.0
- 32.3°, I = 36.7
- 36.8°, I = 21.5
- 37.6°, I = 34.7
- 48.4°, I = 21.5
- 53.8°, I = 29.7
- 54.9°, I = 34.7
- 58.7°, I = 13.1

Cell and atoms:
```
Li14Mn2O9
1.0
5.9052 0.0000 0.0000
-2.9526 5.1141 0.0000
0.0000 0.0000 8.1267
Li Mn O
14 2 9
direct
0.0000 0.0000 0.2380 Li
0.0000 0.0000 0.7620 Li
0.0608 0.6883 0.9148 Li
0.0633 0.3581 0.5950 Li
0.2949 0.9367 0.5950 Li
0.3117 0.3725 0.9148 Li
0.3581 0.2949 0.4050 Li
0.3725 0.0608 0.0852 Li
0.6275 0.9392 0.9148 Li
0.6419 0.7051 0.5950 Li
0.6883 0.6275 0.0852 Li
0.7051 0.0633 0.4050 Li
0.9367 0.6419 0.4050 Li
0.9392 0.3117 0.0852 Li
0.3333 0.6667 0.2481 Mn
0.6667 0.3333 0.7519 Mn
0.0000 0.0000 0.5000 O
0.0208 0.6900 0.1585 O
0.3100 0.3309 0.1585 O
0.3309 0.0208 0.8415 O
0.3333 0.6667 0.4953 O
0.6667 0.3333 0.5047 O
0.6691 0.9792 0.1585 O
0.6900 0.6691 0.8415 O
0.9792 0.3100 0.8415 O
```

Diffraction record for Li2Mn2O3. The XRD peak list is computed, not measured: it uses a structure optimized by DFT (PBE+U) and Cu Kα X-rays.
Neutral-atom scattering factors, no anomalous dispersion.

Peak list (10 most intense, 2θ from 5° to 70°, low angle first)
- 17.9°, I = 100.0
- 20.7°, I = 26.3
- 29.9°, I = 53.4
- 30.2°, I = 21.5
- 37.0°, I = 34.5
- 39.9°, I = 83.4
- 46.6°, I = 26.0
- 47.7°, I = 27.9
- 55.7°, I = 23.8
- 61.4°, I = 20.7

Cell and atoms:
```
Li2Mn2O3
1.0
10.3904 0.0000 0.0000
0.0000 3.1100 0.0000
-1.8316 0.0000 4.9427
Li Mn O
4 4 6
direct
0.1732 0.0000 0.3389 Li
0.3268 0.5000 0.6611 Li
0.6732 0.5000 0.3389 Li
0.8268 0.0000 0.6611 Li
0.1163 0.5000 0.8739 Mn
0.3837 0.0000 0.1261 Mn
0.6163 0.0000 0.8739 Mn
0.8837 0.5000 0.1261 Mn
0.0000 0.0000 0.0000 O
0.2160 0.0000 0.7273 O
0.2840 0.5000 0.2727 O
0.5000 0.5000 0.0000 O
0.7160 0.5000 0.7273 O
0.7840 0.0000 0.2727 O
```

Diffraction record for Li5Mn7O12. The XRD peak list is computed, not measured: it uses a structure optimized by DFT (PBE+U) and Cu Kα X-rays.
Neutral-atom scattering factors, no anomalous dispersion.

Peak list (10 most intense, 2θ from 5° to 70°, low angle first)
- 18.2°, I = 35.6
- 19.6°, I = 21.4
- 20.5°, I = 19.3
- 23.4°, I = 29.6
- 36.7°, I = 22.0
- 42.3°, I = 100.0
- 43.1°, I = 49.1
- 61.3°, I = 13.9
- 61.6°, I = 26.6
- 62.3°, I = 26.3

Cell and atoms:
```
Li5Mn7O12
1.0
2.6060 -4.5258 0.0000
2.6060 4.5258 0.0000
-1.9634 0.0000 9.7497
Li Mn O
5 7 12
direct
0.0000 0.0000 0.0000 Li
0.2413 0.2601 0.7513 Li
0.4176 0.1099 0.2430 Li
0.7399 0.7587 0.2487 Li
0.8901 0.5824 0.7570 Li
0.0833 0.4258 0.2452 Mn
0.1461 0.8539 0.5000 Mn
0.3403 0.6597 0.0000 Mn
0.4886 0.5114 0.5000 Mn
0.5742 0.9167 0.7548 Mn
0.6674 0.3326 0.0000 Mn
0.8164 0.1836 0.5000 Mn
0.0537 0.6850 0.1164 O
0.1224 0.1694 0.3688 O
0.2309 0.5687 0.6269 O
0.3150 0.9463 0.8836 O
0.3905 0.3943 0.1101 O
0.4313 0.7691 0.3731 O
0.5241 0.2413 0.6184 O
0.6057 0.6095 0.8899 O
0.7273 0.0894 0.1273 O
0.7587 0.4759 0.3816 O
0.8306 0.8776 0.6312 O
0.9106 0.2727 0.8727 O
```

Diffraction record for Li7Mn10O24. The XRD peak list is computed, not measured: it uses a structure optimized by DFT (PBE+U) and Cu Kα X-rays.
Neutral-atom scattering factors, no anomalous dispersion.

Peak list (10 most intense, 2θ from 5° to 70°, low angle first)
- 15.6°, I = 15.3
- 18.5°, I = 100.0
- 18.6°, I = 44.9
- 36.0°, I = 32.8
- 36.2°, I = 13.6
- 43.6°, I = 26.8
- 43.8°, I = 52.9
- 57.9°, I = 14.6
- 63.5°, I = 15.1
- 63.7°, I = 15.1

Cell and atoms:
```
Li7Mn10O24
1.0
4.1293 -4.1334 0.0000
4.1293 4.1334 0.0000
-3.9940 0.0000 12.4645
Li Mn O
7 10 24
direct
0.0000 0.0000 0.0000 Li
0.1133 0.8814 0.2505 Li
0.1186 0.8867 0.7495 Li
0.3238 0.3449 0.6688 Li
0.5735 0.0980 0.1719 Li
0.6551 0.6762 0.3312 Li
0.9020 0.4265 0.8281 Li
0.1137 0.3841 0.2510 Mn
0.2812 0.5496 0.0853 Mn
0.4398 0.2228 0.4165 Mn
0.4505 0.2133 0.9150 Mn
0.4504 0.7188 0.9147 Mn
0.6159 0.8863 0.7490 Mn
0.7772 0.5602 0.5835 Mn
0.7781 0.0520 0.5846 Mn
0.7867 0.5495 0.0850 Mn
0.9480 0.2219 0.4154 Mn
0.0328 0.7566 0.0808 O
0.0374 0.3260 0.0915 O
0.1883 0.4414 0.4059 O
0.1931 0.0164 0.4174 O
0.2348 0.4695 0.9239 O
0.2434 0.9672 0.9192 O
0.3388 0.6083 0.2345 O
0.3497 0.1588 0.2647 O
0.3911 0.1247 0.7651 O
0.3917 0.6612 0.7655 O
0.5289 0.3202 0.0732 O
0.5305 0.7652 0.0761 O
0.5482 0.3019 0.5734 O
0.5586 0.8117 0.5941 O
0.6740 0.9626 0.9085 O
0.6798 0.4711 0.9268 O
0.6971 0.0064 0.4249 O
0.6981 0.4518 0.4266 O
0.8401 0.1116 0.7355 O
0.8412 0.6503 0.7353 O
0.8753 0.6089 0.2349 O
0.8884 0.1599 0.2645 O
0.9836 0.8069 0.5826 O
0.9936 0.3029 0.5751 O
```